(1)
This entry pairs a crystal structure of Ba2LiNi2O6 with its simulated X-ray diffraction stick pattern. Radiation: Cu Kα (λ = 1.5418 Å). Structure: DFT lattice parameters and positions (PBE+U).
Intensities are scaled so that the largest is 1000.

Structure:
abc: 5.6836 5.6836 5.2067
angles: 90.00 90.00 120.00
Space group P3m1 (No. 156)
Asymmetric unit:
Ba1 0.0000 0.0000 0.0000 (multiplicity 1)
Ba2 0.3333 0.6667 0.5065 (multiplicity 1)
Li1 0.3333 0.6667 0.0054 (multiplicity 1)
Ni1 0.6667 0.3333 0.2275 (multiplicity 1)
Ni2 0.6667 0.3333 0.7249 (multiplicity 1)
O1 0.3671 0.1835 0.4766 (multiplicity 3)
O2 0.5136 0.0271 0.9751 (multiplicity 3)

Main lines, low angle first (2θ from 10° to 80°):
24.9 deg, rel. 1000
31.5 deg, rel. 936
39.1 deg, rel. 417
40.5 deg, rel. 629
51.1 deg, rel. 314
52.2 deg, rel. 235
56.1 deg, rel. 176
61.2 deg, rel. 274
65.7 deg, rel. 174
65.8 deg, rel. 128

---

(2)
This entry pairs a crystal structure of Sr5Cr3ClO12 with its simulated X-ray diffraction stick pattern. Radiation: Cu Kα (λ = 1.5418 Å). Structure: DFT lattice parameters and positions (PBE+U).
Intensities are scaled so that the largest is 1000.

Structure:
abc: 10.2826 10.2826 7.3793
angles: 90.00 90.00 120.00
Space group P6_3 (No. 173)
Asymmetric unit:
Sr1 0.0020 0.2540 0.0000 (multiplicity 6)
Sr2 0.3333 0.6667 0.2420 (multiplicity 2)
Sr3 0.3333 0.6667 0.7442 (multiplicity 2)
Cr1 0.0321 0.4054 0.4978 (multiplicity 6)
Cl1 0.0000 0.0000 0.2542 (multiplicity 2)
O1 0.0933 0.3469 0.3146 (multiplicity 6)
O2 0.0980 0.3622 0.6891 (multiplicity 6)
O3 0.1304 0.5997 0.4906 (multiplicity 6)
O4 0.1617 0.6815 0.9949 (multiplicity 6)

Main lines, low angle first (2θ from 10° to 80°):
26.5 deg, rel. 157
29.2 deg, rel. 1000
29.8 deg, rel. 910
30.1 deg, rel. 616
42.9 deg, rel. 416
45.7 deg, rel. 307
46.1 deg, rel. 223
46.7 deg, rel. 176
47.7 deg, rel. 149
49.4 deg, rel. 164

---

(3)
This entry pairs a crystal structure of Sr5V3BrO12 with its simulated X-ray diffraction stick pattern. Radiation: Cu Kα (λ = 1.5418 Å). Structure: DFT lattice parameters and positions (PBE+U).
Intensities are scaled so that the largest is 1000.

Structure:
abc: 10.4556 10.4556 7.3814
angles: 90.00 90.00 120.00
Space group P6_3/m (No. 176)
Asymmetric unit:
Sr1 0.0006 0.7408 0.2500 (multiplicity 6)
Sr2 0.3333 0.6667 0.5025 (multiplicity 4)
V1 0.0345 0.4060 0.2500 (multiplicity 6)
Br1 0.0000 0.0000 0.0000 (multiplicity 2)
O1 0.0969 0.3529 0.0628 (multiplicity 12)
O2 0.1319 0.5997 0.2500 (multiplicity 6)
O3 0.1568 0.6671 0.7500 (multiplicity 6)

Main lines, low angle first (2θ from 10° to 80°):
28.8 deg, rel. 456
29.6 deg, rel. 1000
42.4 deg, rel. 274
45.4 deg, rel. 251
45.9 deg, rel. 109
49.4 deg, rel. 90
52.5 deg, rel. 83
58.1 deg, rel. 106
58.6 deg, rel. 147
69.7 deg, rel. 149

---

(4)
This entry pairs a crystal structure of UMoO5 with its simulated X-ray diffraction stick pattern. Radiation: Cu Kα (λ = 1.5418 Å). Structure: DFT lattice parameters and positions (PBE+U).
Intensities are scaled so that the largest is 1000.

Structure:
abc: 7.4525 4.1457 13.0120
angles: 90.00 90.00 90.00
Space group Pcca (No. 54)
Asymmetric unit:
U1 0.2500 0.0000 0.0213 (multiplicity 4)
Mo1 0.0000 0.0975 0.2500 (multiplicity 4)
O1 0.0000 0.4824 0.7500 (multiplicity 4)
O2 0.0425 0.0110 0.4020 (multiplicity 8)
O3 0.2500 0.0000 0.2044 (multiplicity 4)
O4 0.2500 0.5000 0.0264 (multiplicity 4)

Main lines, low angle first (2θ from 10° to 80°):
13.6 deg, rel. 295
21.4 deg, rel. 916
25.5 deg, rel. 277
27.4 deg, rel. 443
27.6 deg, rel. 1000
35.1 deg, rel. 259
35.2 deg, rel. 591
48.6 deg, rel. 183
48.9 deg, rel. 261
52.4 deg, rel. 312

---

(5)
This entry pairs a crystal structure of Li4V2C4SO16 with its simulated X-ray diffraction stick pattern. Radiation: Cu Kα (λ = 1.5418 Å). Structure: DFT lattice parameters and positions (PBE+U).
Intensities are scaled so that the largest is 1000.

Structure:
abc: 13.0154 13.3173 14.2390
angles: 90.00 90.00 90.00
Space group Fddd (No. 70, origin choice 2)
Asymmetric unit:
Li1 0.0791 0.3750 0.3750 (multiplicity 16)
Li2 0.1250 0.3277 0.1250 (multiplicity 16)
V1 0.0000 0.0000 0.5000 (multiplicity 16)
C1 0.0250 0.0295 0.7089 (multiplicity 32)
S1 0.1250 0.1250 0.1250 (multiplicity 8)
O1 0.0128 0.1006 0.7699 (multiplicity 32)
O2 0.0361 0.2745 0.8870 (multiplicity 32)
O3 0.0567 0.0579 0.0682 (multiplicity 32)
O4 0.0968 0.2862 0.5296 (multiplicity 32)

Main lines, low angle first (2θ from 10° to 80°):
11.4 deg, rel. 1000
18.2 deg, rel. 374
18.5 deg, rel. 319
21.0 deg, rel. 685
22.1 deg, rel. 614
22.4 deg, rel. 709
26.8 deg, rel. 240
27.4 deg, rel. 289
32.9 deg, rel. 395
35.7 deg, rel. 236